(1)
For MgAl2Ga2Cu4As4O20, a structure optimized by DFT (PBE) gives the simulated PXRD pattern in this record (Cu Kα (λ = 1.5418 Å)).
Kinematic intensities with the Lorentz-polarization factor, no thermal factor.

Main lines, in order of rising 2θ (2θ = 15–90°):
- hkl 0 0 2, 2θ = 17.05°, intensity 24.8
- hkl 1 0 1, 2θ = 17.51°, intensity 73.5
- hkl 1 1 -1, 2θ = 19.46°, intensity 83.4
- hkl 0 2 -1, 2θ = 25.03°, intensity 23.7
- hkl 1 2 -1, 2θ = 27.05°, intensity 100.0
- hkl 1 -1 2, 2θ = 27.12°, intensity 76.5
- hkl 0 1 -3, 2θ = 28.31°, intensity 47.2
- hkl 2 0 -1, 2θ = 32.06°, intensity 77.1
- hkl -1 2 2, 2θ = 35.10°, intensity 41.7
- hkl 1 -2 2, 2θ = 35.15°, intensity 44.0

Crystal structure
Unit cell a=5.897 b=7.706 c=10.401 alpha=89.76 beta=89.82 gamma=79.42
Atoms (fractional coordinates):
1 Mg 0.000 0.000 0.000
2 Al 0.207 0.798 0.746
3 Al 0.577 0.527 0.247
4 Ga 0.075 0.543 0.383
5 Ga 0.700 0.792 0.882
6 Cu 0.052 0.218 0.221
7 Cu 0.316 0.151 0.893
8 Cu 0.531 0.208 0.422
9 Cu 0.769 0.186 0.698
10 As 0.052 0.951 0.460
11 As 0.212 0.399 0.666
12 As 0.543 0.940 0.179
13 As 0.722 0.391 0.966
14 O 0.010 0.491 0.554
15 O 0.093 0.244 0.752
16 O 0.191 0.096 0.378
17 O 0.226 0.853 0.582
18 O 0.270 0.564 0.766
19 O 0.287 0.025 0.100
20 O 0.372 0.441 0.338
21 O 0.410 0.886 0.837
22 O 0.471 0.297 0.600
23 O 0.509 0.760 0.268
24 O 0.531 0.488 0.080
25 O 0.621 0.233 0.876
26 O 0.653 0.102 0.254
27 O 0.749 0.870 0.057
28 O 0.793 0.551 0.866
29 O 0.797 0.062 0.528
30 O 0.868 0.446 0.286
31 O 0.949 0.889 0.829
32 O 0.968 0.265 0.034
33 O 0.999 0.787 0.357

***

(2)
For CuSnPd2, a structure optimized by DFT (PBE) gives the simulated PXRD pattern in this record (Cu Kα (λ = 1.5418 Å)).
Kinematic intensities with the Lorentz-polarization factor, no thermal factor.

Main lines, in order of rising 2θ (2θ = 15–90°):
- hkl 0 0 1, 2θ = 22.36°, intensity 1.9
- hkl 3 0 0, 2θ = 33.73°, intensity 3.0
- hkl 2 2 1, 2θ = 39.15°, intensity 100.0
- hkl 4 0 0, 2θ = 45.46°, intensity 32.1
- hkl 0 0 2, 2θ = 45.65°, intensity 16.3
- hkl 4 4 0, 2θ = 66.25°, intensity 10.0
- hkl 4 0 2, 2θ = 66.40°, intensity 20.4
- hkl 6 2 1, 2θ = 79.73°, intensity 23.4
- hkl 2 2 3, 2θ = 80.01°, intensity 12.2
- hkl 4 4 2, 2θ = 84.16°, intensity 10.4

Crystal structure
Unit cell a=7.981 b=7.981 c=3.974 alpha=90.00 beta=90.00 gamma=90.00
Atoms (fractional coordinates):
1 Cu 0.000 0.245 0.000
2 Cu 0.000 0.755 0.000
3 Cu 0.245 0.000 0.000
4 Cu 0.755 0.000 0.000
5 Sn 0.000 0.000 0.500
6 Sn 0.000 0.500 0.500
7 Sn 0.500 0.000 0.500
8 Sn 0.500 0.500 0.500
9 Pd 0.240 0.240 0.500
10 Pd 0.240 0.760 0.500
11 Pd 0.241 0.500 0.000
12 Pd 0.500 0.241 0.000
13 Pd 0.500 0.759 0.000
14 Pd 0.759 0.500 0.000
15 Pd 0.760 0.240 0.500
16 Pd 0.760 0.760 0.500

***

(3)
For SbAs3S4F6, a structure optimized by DFT (PBE) gives the simulated PXRD pattern in this record (Cu Kα (λ = 1.5418 Å)).
Kinematic intensities with the Lorentz-polarization factor, no thermal factor.

Main lines, in order of rising 2θ (2θ = 15–90°):
- hkl 0 0 2, 2θ = 17.54°, intensity 36.9
- hkl 1 2 1, 2θ = 18.84°, intensity 100.0
- hkl 1 4 1, 2θ = 24.01°, intensity 31.1
- hkl 0 6 0, 2θ = 25.69°, intensity 12.6
- hkl 1 4 2, 2θ = 28.53°, intensity 15.2
- hkl 2 1 1, 2θ = 30.49°, intensity 10.7
- hkl 0 6 2, 2θ = 31.28°, intensity 12.6
- hkl 0 4 3, 2θ = 31.63°, intensity 12.5
- hkl 2 6 0, 2θ = 38.98°, intensity 18.7
- hkl 0 4 5, 2θ = 48.27°, intensity 11.1

Crystal structure
Unit cell a=6.196 b=20.810 c=10.111 alpha=90.00 beta=90.00 gamma=90.00
Atoms (fractional coordinates):
1 Sb 0.009 0.163 0.250
2 Sb 0.009 0.337 0.750
3 Sb 0.991 0.663 0.250
4 Sb 0.991 0.837 0.750
5 As 0.441 0.510 0.750
6 As 0.441 0.990 0.250
7 As 0.495 0.671 0.625
8 As 0.495 0.671 0.875
9 As 0.495 0.829 0.125
10 As 0.495 0.829 0.375
11 As 0.505 0.171 0.625
12 As 0.505 0.171 0.875
13 As 0.505 0.329 0.125
14 As 0.505 0.329 0.375
15 As 0.559 0.010 0.750
16 As 0.559 0.490 0.250
17 S 0.197 0.038 0.750
18 S 0.197 0.134 0.750
19 S 0.197 0.366 0.250
20 S 0.197 0.462 0.250
21 S 0.356 0.576 0.579
22 S 0.356 0.576 0.921
23 S 0.356 0.924 0.079
24 S 0.356 0.924 0.421
25 S 0.644 0.076 0.579
26 S 0.644 0.076 0.921
27 S 0.644 0.424 0.079
28 S 0.644 0.424 0.421
29 S 0.803 0.538 0.750
30 S 0.803 0.634 0.750
31 S 0.803 0.866 0.250
32 S 0.803 0.962 0.250
33 F 0.134 0.713 0.117
34 F 0.134 0.713 0.383
35 F 0.134 0.787 0.617
36 F 0.134 0.787 0.883
37 F 0.152 0.114 0.115
38 F 0.152 0.114 0.385
39 F 0.152 0.386 0.615
40 F 0.152 0.386 0.885
41 F 0.228 0.603 0.250
42 F 0.228 0.897 0.750
43 F 0.248 0.223 0.250
44 F 0.248 0.277 0.750
45 F 0.752 0.723 0.250
46 F 0.752 0.777 0.750
47 F 0.772 0.103 0.250
48 F 0.772 0.397 0.750
49 F 0.848 0.614 0.115
50 F 0.848 0.614 0.385
51 F 0.848 0.886 0.615
52 F 0.848 0.886 0.885
53 F 0.866 0.213 0.117
54 F 0.866 0.213 0.383
55 F 0.866 0.287 0.617
56 F 0.866 0.287 0.883

***

(4)
For CsLaMg14, a structure optimized by DFT (PBE) gives the simulated PXRD pattern in this record (Cu Kα (λ = 1.5418 Å)).
Kinematic intensities with the Lorentz-polarization factor, no thermal factor.

Main lines, in order of rising 2θ (2θ = 15–90°):
- hkl 1 0 2, 2θ = 22.54°, intensity 51.2
- hkl 1 1 0, 2θ = 25.93°, intensity 16.5
- hkl 2 0 0, 2θ = 30.02°, intensity 32.1
- hkl 1 1 2, 2θ = 31.07°, intensity 19.8
- hkl 0 0 4, 2θ = 34.05°, intensity 22.5
- hkl 2 0 2, 2θ = 34.62°, intensity 100.0
- hkl 2 0 4, 2θ = 46.02°, intensity 19.4
- hkl 2 2 0, 2θ = 53.31°, intensity 17.8
- hkl 2 0 6, 2θ = 61.31°, intensity 18.0
- hkl 2 2 4, 2θ = 64.79°, intensity 19.1

Crystal structure
Unit cell a=6.873 b=6.873 c=10.532 alpha=90.00 beta=90.00 gamma=120.00
Atoms (fractional coordinates):
1 Cs 0.000 0.000 0.000
2 La 0.000 0.000 0.500
3 Mg 0.005 0.503 0.000
4 Mg 0.009 0.504 0.500
5 Mg 0.178 0.357 0.258
6 Mg 0.178 0.357 0.742
7 Mg 0.178 0.822 0.258
8 Mg 0.178 0.822 0.742
9 Mg 0.496 0.504 0.500
10 Mg 0.496 0.991 0.500
11 Mg 0.497 0.503 0.000
12 Mg 0.497 0.995 0.000
13 Mg 0.643 0.822 0.258
14 Mg 0.643 0.822 0.742
15 Mg 0.667 0.333 0.250
16 Mg 0.667 0.333 0.750